The following is a simulated powder diffraction line list of Tb2NdY6Ho2. It was derived from a crystal structure in Alexandria, relaxed with GGA-PBE, using Cu Kα (weighted mean of Kα1 and Kα2).
Lines closer than 0.1° are merged.

The 10 most intense peaks (10 to 90 degrees two-theta), sorted by position:
d_spacing	intensity
2.908	26.3
2.892	22.1
2.853	38.2
2.787	100.0
2.642	19.1
2.031	16.1
1.938	15.4
1.634	20.6
1.491	14.5
1.479	12.9

Atomic structure:
```
Tb2NdY6Ho2
1.0
2.8526 -6.0139 0.0000
2.8526 6.0139 0.0000
-0.0105 0.0000 10.5684
Tb Nd Y Ho
2 1 6 2
Direct
0.1348 0.8652 0.0000 Tb
0.8652 0.1348 0.0000 Tb
0.5000 0.5000 0.5000 Nd
0.0007 0.0007 0.2891 Y
0.3460 0.6526 0.7943 Y
0.3474 0.6540 0.2057 Y
0.6526 0.3460 0.7943 Y
0.6540 0.3474 0.2057 Y
0.9993 0.9993 0.7109 Y
0.2042 0.7958 0.5000 Ho
0.7958 0.2042 0.5000 Ho
```